No. 1
Theoretical powder X-ray diffraction pattern of NdP2O10 for Cu Kα (weighted mean of Kα1 and Kα2), from DFT lattice parameters and positions (PBE).

Most intense lines, 2θ from 10° to 90°, sorted by position:
13.76°, intensity 29; 15.25°, intensity 100; 20.60°, intensity 100; 21.43°, intensity 72; 21.98°, intensity 61; 33.84°, intensity 23; 38.30°, intensity 24; 39.72°, intensity 30

Structural model:
```
52
Lattice="10.849 0.000 0.000 0.000 12.867 0.000 0.000 0.000 6.882" Properties=species:S:1:pos:R:3 pbc="T T T"
Nd 2.553 3.217 1.721
Nd 2.872 9.650 1.721
Nd 7.977 3.217 5.162
Nd 8.296 9.650 5.162
P 0.040 7.606 0.214
P 0.040 11.694 3.227
P 5.384 1.172 3.227
P 5.384 5.261 0.214
P 5.465 7.606 6.669
P 5.465 11.694 3.655
P 10.809 1.172 3.655
P 10.809 5.261 6.669
O 0.615 6.581 5.931
O 0.615 12.719 4.393
O 0.999 2.109 3.115
O 0.999 4.324 0.326
O 1.142 8.209 1.025
O 1.142 11.091 2.416
O 2.327 1.190 0.216
O 2.327 5.244 3.226
O 2.418 8.470 3.923
O 2.418 10.830 6.401
O 3.007 2.037 6.401
O 3.007 4.397 3.923
O 3.097 7.623 3.226
O 3.097 11.677 0.216
O 4.283 1.776 2.416
O 4.283 4.657 1.025
O 4.425 8.543 0.326
O 4.425 10.757 3.115
O 4.810 0.148 4.393
O 4.810 6.286 5.931
O 6.039 6.581 0.951
O 6.039 12.719 2.490
O 6.424 2.109 3.767
O 6.424 4.324 6.557
O 6.566 8.209 5.857
O 6.566 11.091 4.466
O 7.752 1.190 6.667
O 7.752 5.244 3.657
O 7.842 8.470 2.960
O 7.842 10.830 0.482
O 8.431 2.037 0.482
O 8.431 4.397 2.960
O 8.522 7.623 3.657
O 8.522 11.677 6.667
O 9.707 1.776 4.466
O 9.707 4.657 5.857
O 9.850 8.543 6.557
O 9.850 10.757 3.767
O 10.234 0.148 2.490
O 10.234 6.286 0.951
```

No. 2
Theoretical powder X-ray diffraction pattern of Nd2ZnPtO6 for Cu Kα (weighted mean of Kα1 and Kα2), from DFT lattice parameters and positions (PBE).

Most intense lines, 2θ from 10° to 90°, sorted by position:
18.89°, intensity 22; 30.58°, intensity 41; 31.76°, intensity 100; 31.88°, intensity 98; 32.52°, intensity 48; 45.24°, intensity 37; 45.99°, intensity 26; 57.66°, intensity 32

Structural model:
```
20
Lattice="5.506 0.000 0.000 0.000 5.847 0.000 -5.468 0.000 7.894" Properties=species:S:1:pos:R:3 pbc="T T T"
Nd -0.094 0.403 1.981
Nd -2.828 2.520 5.928
Nd 2.866 3.326 1.966
Nd 0.131 5.444 5.912
Zn 2.753 0.000 0.000
Zn 0.019 2.923 3.947
Pt -2.734 0.000 3.947
Pt 0.000 2.923 0.000
O -4.431 1.196 7.453
O -1.697 1.727 3.506
O -3.810 4.064 7.474
O -1.076 4.706 3.527
O -2.132 0.205 5.901
O 0.602 2.718 1.954
O -0.564 3.128 5.939
O 2.170 5.642 1.992
O 1.114 1.141 4.367
O 3.848 1.783 0.420
O 1.735 4.120 4.387
O 4.469 4.651 0.440
```

No. 3
Theoretical powder X-ray diffraction pattern of RbNdO2 for Cu Kα (weighted mean of Kα1 and Kα2), from DFT lattice parameters and positions (PBE).

Most intense lines, 2θ from 10° to 90°, sorted by position:
13.38°, intensity 24; 26.95°, intensity 38; 29.50°, intensity 81; 33.47°, intensity 100; 46.42°, intensity 35; 49.66°, intensity 33; 54.49°, intensity 19; 57.40°, intensity 28

Structural model:
```
4
Lattice="1.836 1.060 6.617 -1.836 1.060 6.617 0.000 -2.120 6.617" Properties=species:S:1:pos:R:3 pbc="T T T"
Rb 0.000 0.000 0.000
Nd 0.000 0.000 9.925
O 0.000 0.000 4.505
O 0.000 0.000 15.345
```